No. 1
The following is a calculated PXRD pattern of NdHo4Tm5. It was derived from a DFT-relaxed cell (PBE, Alexandria), using copper Kα.
Neutral-atom scattering factors, no anomalous dispersion.

Most intense lines, 2θ = 5–70°, sorted by position:
d (Å), 2θ/deg, Rel. int.
3.039, 29.4, 37.6
2.872, 31.1, 16.3
2.836, 31.6, 72.8
2.759, 32.5, 54.5
2.727, 32.8, 50.8
2.711, 33.0, 100.0
2.678, 33.5, 18.0
2.549, 35.2, 16.4
2.101, 43.0, 15.8
1.810, 50.4, 18.8

Structure:
```
data_NdHo4Tm5
_chemical_formula_sum 'Nd1 Ho4 Tm5'
_space_group_name_H-M_alt 'P 1'
_space_group_IT_number 1
_cell_length_a 3.525
_cell_length_b 6.610
_cell_length_c 14.011
_cell_angle_alpha 98.46
_cell_angle_beta 93.25
_cell_angle_gamma 103.89
loop_
_space_group_symop_operation_xyz
'x,y,z'
loop_
_atom_site_label
_atom_site_fract_x
_atom_site_fract_y
_atom_site_fract_z
_atom_site_occupancy
Nd1 0.000 0.000 0.000 1
Ho1 0.113 0.809 0.219 1
Ho2 0.195 0.727 0.803 1
Ho3 0.805 0.273 0.197 1
Ho4 0.887 0.191 0.781 1
Tm1 0.205 0.880 0.583 1
Tm2 0.491 0.426 0.613 1
Tm3 0.500 0.500 0.000 1
Tm4 0.509 0.574 0.387 1
Tm5 0.795 0.120 0.417 1
```

No. 2
The following is a calculated PXRD pattern of Ho4ZnCo4. It was derived from a DFT-relaxed cell (PBE, Alexandria), using copper Kα.
Neutral-atom scattering factors, no anomalous dispersion.

Most intense lines, 2θ = 5–70°, sorted by position:
d (Å), 2θ/deg, Rel. int.
3.245, 27.5, 46.5
3.015, 29.6, 53.6
2.578, 34.8, 100.0
2.547, 35.2, 55.3
2.323, 38.8, 27.9
2.160, 41.8, 53.0
1.823, 50.0, 20.8
1.728, 53.0, 40.4
1.591, 58.0, 25.4
1.560, 59.2, 20.2

Structure:
```
data_Ho4ZnCo4
_chemical_formula_sum 'Ho8 Zn2 Co8'
_space_group_name_H-M_alt 'P 1'
_space_group_IT_number 1
_cell_length_a 8.151
_cell_length_b 8.151
_cell_length_c 5.363
_cell_angle_alpha 90.00
_cell_angle_beta 90.00
_cell_angle_gamma 90.00
loop_
_space_group_symop_operation_xyz
'x,y,z'
loop_
_atom_site_label
_atom_site_fract_x
_atom_site_fract_y
_atom_site_fract_z
_atom_site_occupancy
Ho1 0.042 0.686 0.109 1
Ho2 0.186 0.958 0.609 1
Ho3 0.314 0.542 0.609 1
Ho4 0.458 0.814 0.109 1
Ho5 0.542 0.186 0.891 1
Ho6 0.686 0.458 0.391 1
Ho7 0.814 0.042 0.391 1
Ho8 0.958 0.314 0.891 1
Zn1 0.250 0.250 0.250 1
Zn2 0.750 0.750 0.750 1
Co1 0.009 0.381 0.399 1
Co2 0.119 0.009 0.101 1
Co3 0.381 0.491 0.101 1
Co4 0.491 0.119 0.399 1
Co5 0.509 0.881 0.601 1
Co6 0.619 0.509 0.899 1
Co7 0.881 0.991 0.899 1
Co8 0.991 0.619 0.601 1
```

No. 3
The following is a calculated PXRD pattern of MgCd2Tc. It was derived from a DFT-relaxed cell (PBE, Alexandria), using copper Kα.
Neutral-atom scattering factors, no anomalous dispersion.

Most intense lines, 2θ = 5–70°, sorted by position:
d (Å), 2θ/deg, Rel. int.
9.444, 9.4, 32.4
2.670, 33.6, 11.6
2.398, 37.5, 100.0
2.361, 38.1, 22.0
2.270, 39.7, 21.8
1.762, 51.9, 9.8
1.637, 56.2, 13.6
1.412, 66.2, 8.2
1.392, 67.3, 9.1
1.370, 68.5, 12.8

Structure:
```
data_MgCd2Tc
_chemical_formula_sum 'Mg1 Cd2 Tc1'
_space_group_name_H-M_alt 'P 1'
_space_group_IT_number 1
_cell_length_a 2.874
_cell_length_b 2.874
_cell_length_c 9.444
_cell_angle_alpha 90.00
_cell_angle_beta 90.00
_cell_angle_gamma 104.38
loop_
_space_group_symop_operation_xyz
'x,y,z'
loop_
_atom_site_label
_atom_site_fract_x
_atom_site_fract_y
_atom_site_fract_z
_atom_site_occupancy
Mg1 0.000 0.000 0.000 1
Cd1 0.000 0.000 0.543 1
Cd2 0.500 0.500 0.267 1
Tc1 0.500 0.500 0.780 1
```

No. 4
The following is a calculated PXRD pattern of KGeSb. It was derived from a DFT-relaxed cell (PBE, Alexandria), using copper Kα.
Neutral-atom scattering factors, no anomalous dispersion.

Most intense lines, 2θ = 5–70°, sorted by position:
d (Å), 2θ/deg, Rel. int.
6.452, 13.7, 47.4
3.641, 24.4, 12.8
3.171, 28.1, 100.0
2.414, 37.2, 48.9
2.102, 43.0, 33.3
1.999, 45.4, 14.9
1.852, 49.2, 21.6
1.752, 52.2, 17.0
1.585, 58.2, 13.0
1.346, 69.9, 13.7

Structure:
```
data_KGeSb
_chemical_formula_sum 'K1 Ge1 Sb1'
_space_group_name_H-M_alt 'P 1'
_space_group_IT_number 1
_cell_length_a 4.204
_cell_length_b 4.204
_cell_length_c 6.452
_cell_angle_alpha 90.00
_cell_angle_beta 90.00
_cell_angle_gamma 120.00
loop_
_space_group_symop_operation_xyz
'x,y,z'
loop_
_atom_site_label
_atom_site_fract_x
_atom_site_fract_y
_atom_site_fract_z
_atom_site_occupancy
K1 0.000 0.000 0.000 1
Ge1 0.667 0.333 0.376 1
Sb1 0.333 0.667 0.581 1
```

No. 5
The following is a calculated PXRD pattern of Sr4WN4. It was derived from a DFT-relaxed cell (PBE, Alexandria), using copper Kα.
Neutral-atom scattering factors, no anomalous dispersion.

Most intense lines, 2θ = 5–70°, sorted by position:
d (Å), 2θ/deg, Rel. int.
5.417, 16.4, 64.0
4.846, 18.3, 47.1
3.716, 23.9, 44.1
3.267, 27.3, 39.1
3.195, 27.9, 80.7
2.896, 30.9, 100.0
2.708, 33.1, 91.2
2.519, 35.6, 29.7
2.125, 42.5, 55.7
1.858, 49.0, 30.4

Structure:
```
data_Sr4WN4
_chemical_formula_sum 'Sr8 W2 N8'
_space_group_name_H-M_alt 'P 1'
_space_group_IT_number 1
_cell_length_a 6.853
_cell_length_b 6.853
_cell_length_c 8.845
_cell_angle_alpha 90.00
_cell_angle_beta 90.00
_cell_angle_gamma 90.00
loop_
_space_group_symop_operation_xyz
'x,y,z'
loop_
_atom_site_label
_atom_site_fract_x
_atom_site_fract_y
_atom_site_fract_z
_atom_site_occupancy
Sr1 0.006 0.250 0.072 1
Sr2 0.250 0.006 0.572 1
Sr3 0.250 0.494 0.572 1
Sr4 0.494 0.250 0.072 1
Sr5 0.506 0.750 0.928 1
Sr6 0.750 0.506 0.428 1
Sr7 0.750 0.994 0.428 1
Sr8 0.994 0.750 0.928 1
W1 0.250 0.750 0.250 1
W2 0.750 0.250 0.750 1
N1 0.034 0.750 0.386 1
N2 0.250 0.534 0.114 1
N3 0.250 0.966 0.114 1
N4 0.466 0.750 0.386 1
N5 0.534 0.250 0.614 1
N6 0.750 0.034 0.886 1
N7 0.750 0.466 0.886 1
N8 0.966 0.250 0.614 1
```

No. 6
The following is a calculated PXRD pattern of Y9U5O28. It was derived from a DFT-relaxed cell (PBE, Alexandria), using copper Kα.
Neutral-atom scattering factors, no anomalous dispersion.

Most intense lines, 2θ = 5–70°, sorted by position:
d (Å), 2θ/deg, Rel. int.
3.133, 28.5, 87.8
3.106, 28.7, 85.7
3.088, 28.9, 84.6
3.044, 29.3, 82.0
2.678, 33.5, 100.0
1.918, 47.4, 32.7
1.909, 47.6, 33.8
1.899, 47.9, 31.3
1.891, 48.1, 30.4
1.877, 48.5, 29.4

Structure:
```
data_Y9U5O28
_chemical_formula_sum 'Y9 U5 O28'
_space_group_name_H-M_alt 'P 1'
_space_group_IT_number 1
_cell_length_a 6.536
_cell_length_b 7.567
_cell_length_c 11.886
_cell_angle_alpha 73.10
_cell_angle_beta 80.43
_cell_angle_gamma 73.89
loop_
_space_group_symop_operation_xyz
'x,y,z'
loop_
_atom_site_label
_atom_site_fract_x
_atom_site_fract_y
_atom_site_fract_z
_atom_site_occupancy
Y1 0.000 0.000 0.000 1
Y2 0.142 0.357 0.715 1
Y3 0.143 0.857 0.714 1
Y4 0.282 0.215 0.431 1
Y5 0.432 0.569 0.143 1
Y6 0.568 0.431 0.857 1
Y7 0.718 0.785 0.569 1
Y8 0.857 0.143 0.286 1
Y9 0.858 0.643 0.285 1
U1 0.000 0.500 0.000 1
U2 0.282 0.715 0.430 1
U3 0.429 0.071 0.146 1
U4 0.571 0.929 0.854 1
U5 0.718 0.285 0.570 1
O1 0.059 0.178 0.607 1
O2 0.077 0.670 0.096 1
O3 0.079 0.673 0.602 1
O4 0.091 0.177 0.110 1
O5 0.203 0.538 0.835 1
O6 0.221 0.026 0.318 1
O7 0.224 0.545 0.329 1
O8 0.233 0.029 0.829 1
O9 0.353 0.884 0.527 1
O10 0.363 0.374 0.039 1
O11 0.368 0.899 0.042 1
O12 0.370 0.398 0.538 1
O13 0.492 0.240 0.248 1
O14 0.494 0.760 0.254 1
O15 0.506 0.240 0.746 1
O16 0.508 0.760 0.752 1
O17 0.630 0.602 0.462 1
O18 0.632 0.101 0.958 1
O19 0.637 0.626 0.961 1
O20 0.647 0.116 0.473 1
O21 0.767 0.971 0.171 1
O22 0.776 0.455 0.671 1
O23 0.779 0.974 0.682 1
O24 0.797 0.462 0.165 1
O25 0.909 0.823 0.890 1
O26 0.921 0.327 0.398 1
O27 0.923 0.330 0.904 1
O28 0.941 0.822 0.393 1
```

No. 7
The following is a calculated PXRD pattern of Pb7Au. It was derived from a DFT-relaxed cell (PBE, Alexandria), using copper Kα.
Neutral-atom scattering factors, no anomalous dispersion.

Most intense lines, 2θ = 5–70°, sorted by position:
d (Å), 2θ/deg, Rel. int.
2.839, 31.5, 100.0
2.458, 36.5, 51.0
1.738, 52.7, 36.6
1.483, 62.7, 43.8
1.419, 65.8, 12.7

Structure:
```
data_Pb7Au
_chemical_formula_sum 'Pb7 Au1'
_space_group_name_H-M_alt 'P 1'
_space_group_IT_number 1
_cell_length_a 6.954
_cell_length_b 6.954
_cell_length_c 6.954
_cell_angle_alpha 60.00
_cell_angle_beta 60.00
_cell_angle_gamma 60.00
loop_
_space_group_symop_operation_xyz
'x,y,z'
loop_
_atom_site_label
_atom_site_fract_x
_atom_site_fract_y
_atom_site_fract_z
_atom_site_occupancy
Pb1 0.000 0.000 0.000 1
Pb2 0.000 0.000 0.500 1
Pb3 0.000 0.500 0.000 1
Pb4 0.000 0.500 0.500 1
Pb5 0.500 0.000 0.000 1
Pb6 0.500 0.000 0.500 1
Pb7 0.500 0.500 0.000 1
Au1 0.500 0.500 0.500 1
```

No. 8
The following is a calculated PXRD pattern of Sr4Li2Br9. It was derived from a DFT-relaxed cell (PBE, Alexandria), using copper Kα.
Neutral-atom scattering factors, no anomalous dispersion.

Most intense lines, 2θ = 5–70°, sorted by position:
d (Å), 2θ/deg, Rel. int.
5.510, 16.1, 14.1
3.926, 22.6, 15.3
3.349, 26.6, 15.2
3.318, 26.9, 100.0
3.231, 27.6, 17.1
2.755, 32.5, 36.5
2.479, 36.2, 29.4
2.244, 40.2, 18.0
2.233, 40.4, 38.0
1.882, 48.4, 17.9

Structure:
```
data_Sr4Li2Br9
_chemical_formula_sum 'Sr8 Li4 Br18'
_space_group_name_H-M_alt 'P 1'
_space_group_IT_number 1
_cell_length_a 7.731
_cell_length_b 7.735
_cell_length_c 19.384
_cell_angle_alpha 89.99
_cell_angle_beta 89.98
_cell_angle_gamma 60.03
loop_
_space_group_symop_operation_xyz
'x,y,z'
loop_
_atom_site_label
_atom_site_fract_x
_atom_site_fract_y
_atom_site_fract_z
_atom_site_occupancy
Sr1 0.166 0.167 0.023 1
Sr2 0.167 0.166 0.321 1
Sr3 0.167 0.167 0.549 1
Sr4 0.167 0.167 0.792 1
Sr5 0.833 0.833 0.208 1
Sr6 0.833 0.833 0.451 1
Sr7 0.833 0.834 0.679 1
Sr8 0.834 0.833 0.977 1
Li1 0.500 0.499 0.158 1
Li2 0.500 0.500 0.345 1
Li3 0.500 0.500 0.655 1
Li4 0.500 0.501 0.842 1
Br1 0.141 0.815 0.085 1
Br2 0.158 0.565 0.577 1
Br3 0.185 0.456 0.915 1
Br4 0.204 0.761 0.758 1
Br5 0.223 0.842 0.424 1
Br6 0.239 0.464 0.242 1
Br7 0.435 0.223 0.424 1
Br8 0.456 0.859 0.915 1
Br9 0.465 0.795 0.242 1
Br10 0.535 0.205 0.758 1
Br11 0.544 0.141 0.085 1
Br12 0.565 0.777 0.576 1
Br13 0.761 0.536 0.758 1
Br14 0.777 0.158 0.576 1
Br15 0.796 0.239 0.242 1
Br16 0.815 0.544 0.085 1
Br17 0.842 0.435 0.423 1
Br18 0.859 0.185 0.915 1
```